(1)
The following is a calculated powder XRD pattern of PrU3S6. It was derived from a crystal structure in Alexandria, relaxed with PBE, using Cu Kα (λ = 1.5418 Å).

Crystal structure
abc: 11.007 3.945 11.441
angles: 90.00 107.70 90.00
Fractional positions:
1 Pr 0.049 0.250 0.195
2 Pr 0.951 0.750 0.805
3 U 0.156 0.250 0.581
4 U 0.320 0.750 0.005
5 U 0.436 0.250 0.334
6 U 0.564 0.750 0.666
7 U 0.680 0.250 0.995
8 U 0.844 0.750 0.419
9 S 0.085 0.750 0.405
10 S 0.125 0.250 0.964
11 S 0.197 0.750 0.748
12 S 0.264 0.750 0.228
13 S 0.395 0.250 0.559
14 S 0.489 0.250 0.118
15 S 0.511 0.750 0.882
16 S 0.605 0.750 0.441
17 S 0.736 0.250 0.772
18 S 0.803 0.250 0.252
19 S 0.875 0.750 0.036
20 S 0.915 0.250 0.595

Principal peaks in the range 10 to 90 degrees two-theta, most intense first:
2θ = 24.26°, rel. 100
2θ = 26.30°, rel. 94
2θ = 23.35°, rel. 77
2θ = 46.05°, rel. 74
2θ = 42.57°, rel. 70
2θ = 27.70°, rel. 58
2θ = 30.94°, rel. 58
2θ = 26.95°, rel. 54
2θ = 34.27°, rel. 49
2θ = 16.38°, rel. 44
2θ = 30.04°, rel. 36
2θ = 43.33°, rel. 31

---

(2)
The following is a calculated powder XRD pattern of Pr10US16. It was derived from a crystal structure in Alexandria, relaxed with PBE, using Cu Kα (λ = 1.5418 Å).

Crystal structure
abc: 8.635 8.635 8.634
angles: 90.00 90.00 90.00
Fractional positions:
1 Pr 0.000 0.500 0.246
2 Pr 0.132 0.745 0.620
3 Pr 0.255 0.132 0.380
4 Pr 0.257 0.380 0.856
5 Pr 0.380 0.743 0.144
6 Pr 0.500 0.000 0.754
7 Pr 0.620 0.257 0.144
8 Pr 0.743 0.620 0.856
9 Pr 0.745 0.868 0.380
10 Pr 0.868 0.255 0.620
11 U 0.000 0.000 0.000
12 S 0.064 0.683 0.945
13 S 0.075 0.827 0.297
14 S 0.169 0.422 0.540
15 S 0.173 0.075 0.703
16 S 0.316 0.420 0.181
17 S 0.317 0.064 0.055
18 S 0.420 0.684 0.819
19 S 0.422 0.831 0.460
20 S 0.578 0.169 0.460
21 S 0.580 0.316 0.819
22 S 0.683 0.936 0.055
23 S 0.684 0.580 0.181
24 S 0.827 0.925 0.703
25 S 0.831 0.578 0.540
26 S 0.925 0.173 0.297
27 S 0.936 0.317 0.945

Principal peaks in the range 10 to 90 degrees two-theta, most intense first:
2θ = 25.27°, rel. 100
2θ = 32.80°, rel. 98
2θ = 39.03°, rel. 60
2θ = 47.07°, rel. 40
2θ = 66.79°, rel. 36
2θ = 54.16°, rel. 30
2θ = 49.52°, rel. 25
2θ = 82.01°, rel. 25
2θ = 23.03°, rel. 16
2θ = 70.71°, rel. 14
2θ = 10.25°, rel. 13
2θ = 17.79°, rel. 9

---

(3)
The following is a calculated powder XRD pattern of PrU2S5. It was derived from a crystal structure in Alexandria, relaxed with PBE, using Cu Kα (λ = 1.5418 Å).

Crystal structure
abc: 11.821 7.445 8.008
angles: 90.00 90.00 90.00
Fractional positions:
1 Pr 0.177 0.024 0.000
2 Pr 0.323 0.524 0.500
3 Pr 0.677 0.476 0.000
4 Pr 0.823 0.976 0.500
5 U 0.008 0.574 0.749
6 U 0.180 0.019 0.502
7 U 0.320 0.519 0.002
8 U 0.492 0.074 0.249
9 U 0.508 0.926 0.749
10 U 0.680 0.481 0.502
11 U 0.820 0.981 0.002
12 U 0.992 0.426 0.249
13 S 0.001 0.958 0.752
14 S 0.094 0.671 0.455
15 S 0.101 0.654 0.042
16 S 0.187 0.330 0.749
17 S 0.215 0.300 0.251
18 S 0.285 0.800 0.751
19 S 0.313 0.830 0.249
20 S 0.399 0.154 0.542
21 S 0.406 0.171 0.955
22 S 0.499 0.458 0.252
23 S 0.501 0.542 0.752
24 S 0.594 0.829 0.455
25 S 0.601 0.846 0.042
26 S 0.687 0.170 0.749
27 S 0.715 0.200 0.251
28 S 0.785 0.700 0.751
29 S 0.813 0.670 0.249
30 S 0.899 0.346 0.542
31 S 0.906 0.329 0.955
32 S 0.999 0.042 0.252

Principal peaks in the range 10 to 90 degrees two-theta, most intense first:
2θ = 25.58°, rel. 100
2θ = 26.37°, rel. 74
2θ = 36.29°, rel. 63
2θ = 26.89°, rel. 63
2θ = 23.91°, rel. 48
2θ = 46.23°, rel. 44
2θ = 52.73°, rel. 38
2θ = 45.28°, rel. 31
2θ = 37.84°, rel. 24
2θ = 43.08°, rel. 18
2θ = 41.03°, rel. 17
2θ = 34.12°, rel. 16

---

(4)
The following is a calculated powder XRD pattern of PrY2S. It was derived from a crystal structure in Alexandria, relaxed with PBE, using Cu Kα (λ = 1.5418 Å).

Crystal structure
abc: 9.691 9.691 9.691
angles: 22.36 22.36 22.36
Fractional positions:
1 Pr 0.000 0.000 0.000
2 Y 0.559 0.559 0.559
3 Y 0.774 0.774 0.774
4 S 0.167 0.167 0.167

Principal peaks in the range 10 to 90 degrees two-theta, most intense first:
2θ = 31.71°, rel. 100
2θ = 30.22°, rel. 67
2θ = 48.45°, rel. 40
2θ = 28.35°, rel. 39
2θ = 57.09°, rel. 32
2θ = 27.59°, rel. 25
2θ = 28.14°, rel. 22
2θ = 50.39°, rel. 22
2θ = 35.39°, rel. 20
2θ = 79.42°, rel. 17
2θ = 59.07°, rel. 16
2θ = 53.30°, rel. 15

---

(5)
The following is a calculated powder XRD pattern of Pr4Y11S22. It was derived from a crystal structure in Alexandria, relaxed with PBE, using Cu Kα (λ = 1.5418 Å).

Crystal structure
abc: 19.872 19.872 11.425
angles: 91.81 91.81 11.48
Fractional positions:
1 Pr 0.105 0.105 0.012
2 Pr 0.368 0.368 0.350
3 Pr 0.632 0.632 0.650
4 Pr 0.895 0.895 0.988
5 Y 0.000 0.000 0.000
6 Y 0.070 0.070 0.358
7 Y 0.202 0.202 0.942
8 Y 0.265 0.265 0.352
9 Y 0.342 0.342 0.698
10 Y 0.461 0.461 0.270
11 Y 0.539 0.539 0.730
12 Y 0.658 0.658 0.302
13 Y 0.735 0.735 0.648
14 Y 0.798 0.798 0.058
15 Y 0.930 0.930 0.642
16 S 0.008 0.008 0.241
17 S 0.088 0.088 0.755
18 S 0.135 0.135 0.453
19 S 0.169 0.169 0.150
20 S 0.188 0.188 0.691
21 S 0.255 0.255 0.119
22 S 0.279 0.279 0.592
23 S 0.351 0.351 0.093
24 S 0.406 0.406 0.790
25 S 0.443 0.443 0.492
26 S 0.453 0.453 0.029
27 S 0.547 0.547 0.971
28 S 0.557 0.557 0.508
29 S 0.594 0.594 0.210
30 S 0.649 0.649 0.907
31 S 0.721 0.721 0.408
32 S 0.745 0.745 0.881
33 S 0.812 0.812 0.309
34 S 0.831 0.831 0.850
35 S 0.865 0.865 0.547
36 S 0.912 0.912 0.245
37 S 0.992 0.992 0.759

Principal peaks in the range 10 to 90 degrees two-theta, most intense first:
2θ = 24.06°, rel. 100
2θ = 31.18°, rel. 99
2θ = 23.37°, rel. 87
2θ = 33.62°, rel. 81
2θ = 45.65°, rel. 64
2θ = 43.68°, rel. 56
2θ = 41.83°, rel. 55
2θ = 27.46°, rel. 51
2θ = 23.79°, rel. 47
2θ = 36.00°, rel. 39
2θ = 45.94°, rel. 37
2θ = 27.03°, rel. 36

---

(6)
The following is a calculated powder XRD pattern of Pr2ZrS4. It was derived from a crystal structure in Alexandria, relaxed with PBE, using Cu Kα (λ = 1.5418 Å).

Crystal structure
abc: 7.058 6.594 7.850
angles: 90.00 105.90 90.00
Fractional positions:
1 Pr 0.210 0.250 0.057
2 Pr 0.223 0.250 0.554
3 Pr 0.777 0.750 0.446
4 Pr 0.790 0.750 0.943
5 Zr 0.269 0.750 0.818
6 Zr 0.731 0.250 0.182
7 S 0.003 0.505 0.254
8 S 0.003 0.995 0.254
9 S 0.467 0.750 0.613
10 S 0.476 0.750 0.122
11 S 0.524 0.250 0.878
12 S 0.533 0.250 0.387
13 S 0.997 0.005 0.746
14 S 0.997 0.495 0.746

Principal peaks in the range 10 to 90 degrees two-theta, most intense first:
2θ = 33.19°, rel. 100
2θ = 33.07°, rel. 98
2θ = 27.04°, rel. 88
2θ = 18.76°, rel. 86
2θ = 27.24°, rel. 78
2θ = 38.05°, rel. 62
2θ = 36.19°, rel. 60
2θ = 51.77°, rel. 54
2θ = 54.44°, rel. 37
2θ = 46.26°, rel. 36
2θ = 26.26°, rel. 31
2θ = 29.60°, rel. 27

---

(7)
The following is a calculated powder XRD pattern of Pr4Sb3. It was derived from a crystal structure in Alexandria, relaxed with PBE, using Cu Kα (λ = 1.5418 Å).

Crystal structure
abc: 8.304 8.304 8.304
angles: 109.47 109.47 109.47
Fractional positions:
1 Pr 0.000 0.359 0.500
2 Pr 0.000 0.859 0.500
3 Pr 0.141 0.141 0.141
4 Pr 0.359 0.500 0.000
5 Pr 0.500 0.000 0.359
6 Pr 0.500 0.000 0.859
7 Pr 0.641 0.641 0.641
8 Pr 0.859 0.500 0.000
9 Sb 0.125 0.750 0.875
10 Sb 0.250 0.625 0.375
11 Sb 0.375 0.250 0.625
12 Sb 0.625 0.375 0.250
13 Sb 0.750 0.875 0.125
14 Sb 0.875 0.125 0.750

Principal peaks in the range 10 to 90 degrees two-theta, most intense first:
2θ = 29.46°, rel. 100
2θ = 35.01°, rel. 65
2θ = 59.42°, rel. 25
2θ = 48.40°, rel. 23
2θ = 46.39°, rel. 17
2θ = 72.43°, rel. 16
2θ = 62.81°, rel. 14
2θ = 61.13°, rel. 12
2θ = 42.15°, rel. 11
2θ = 87.52°, rel. 11
2θ = 44.31°, rel. 9
2θ = 67.70°, rel. 6

---

(8)
The following is a calculated powder XRD pattern of Pr3Sb2. It was derived from a crystal structure in Alexandria, relaxed with PBE, using Cu Kα (λ = 1.5418 Å).

Crystal structure
abc: 8.143 8.143 8.143
angles: 113.59 85.00 133.39
Fractional positions:
1 Pr 0.149 0.640 0.789
2 Pr 0.250 0.250 0.000
3 Pr 0.351 0.140 0.491
4 Pr 0.649 0.860 0.509
5 Pr 0.750 0.750 0.000
6 Pr 0.851 0.360 0.211
7 Sb 0.112 0.284 0.395
8 Sb 0.388 0.784 0.172
9 Sb 0.612 0.216 0.828
10 Sb 0.888 0.716 0.605

Principal peaks in the range 10 to 90 degrees two-theta, most intense first:
2θ = 24.38°, rel. 100
2θ = 30.42°, rel. 82
2θ = 41.10°, rel. 80
2θ = 30.99°, rel. 76
2θ = 36.49°, rel. 63
2θ = 34.34°, rel. 63
2θ = 47.40°, rel. 59
2θ = 36.07°, rel. 49
2θ = 27.69°, rel. 47
2θ = 25.40°, rel. 40
2θ = 69.52°, rel. 31
2θ = 34.46°, rel. 29

---

(9)
The following is a calculated powder XRD pattern of PrSb6. It was derived from a crystal structure in Alexandria, relaxed with PBE, using Cu Kα (λ = 1.5418 Å).

Crystal structure
abc: 7.199 7.199 7.199
angles: 109.47 109.47 109.47
Fractional positions:
1 Pr 0.000 0.000 0.000
2 Sb 0.250 0.500 0.750
3 Sb 0.250 0.750 0.500
4 Sb 0.500 0.250 0.750
5 Sb 0.500 0.750 0.250
6 Sb 0.750 0.250 0.500
7 Sb 0.750 0.500 0.250

Principal peaks in the range 10 to 90 degrees two-theta, most intense first:
2θ = 26.26°, rel. 100
2θ = 40.61°, rel. 62
2θ = 21.38°, rel. 41
2θ = 43.55°, rel. 32
2θ = 37.48°, rel. 30
2θ = 63.28°, rel. 21
2θ = 69.73°, rel. 19
2θ = 61.05°, rel. 18
2θ = 49.00°, rel. 18
2θ = 51.57°, rel. 15
2θ = 85.92°, rel. 14
2θ = 15.07°, rel. 13

---

(10)
The following is a calculated powder XRD pattern of PrSc4Sb5. It was derived from a crystal structure in Alexandria, relaxed with PBE, using Cu Kα (λ = 1.5418 Å).

Crystal structure
abc: 11.215 11.215 11.215
angles: 158.21 148.69 38.47
Fractional positions:
1 Pr 0.000 0.000 0.000
2 Sc 0.205 0.205 0.000
3 Sc 0.400 0.400 0.000
4 Sc 0.600 0.600 0.000
5 Sc 0.795 0.795 0.000
6 Sb 0.110 0.610 0.500
7 Sb 0.302 0.802 0.500
8 Sb 0.500 0.000 0.500
9 Sb 0.698 0.198 0.500
10 Sb 0.890 0.390 0.500

Principal peaks in the range 10 to 90 degrees two-theta, most intense first:
2θ = 29.82°, rel. 100
2θ = 42.46°, rel. 75
2θ = 29.52°, rel. 53
2θ = 52.74°, rel. 38
2θ = 42.67°, rel. 36
2θ = 25.66°, rel. 26
2θ = 77.98°, rel. 21
2θ = 69.61°, rel. 16
2θ = 70.09°, rel. 15
2θ = 70.24°, rel. 14
2θ = 77.52°, rel. 12
2θ = 61.94°, rel. 11

---

(11)
The following is a calculated powder XRD pattern of Pr3ScSb4. It was derived from a crystal structure in Alexandria, relaxed with PBE, using Cu Kα (λ = 1.5418 Å).

Crystal structure
abc: 7.729 8.958 7.743
angles: 90.00 109.53 90.00
Fractional positions:
1 Pr 0.000 0.124 0.250
2 Pr 0.000 0.373 0.750
3 Pr 0.000 0.627 0.250
4 Pr 0.000 0.876 0.750
5 Pr 0.500 0.373 0.250
6 Pr 0.500 0.627 0.750
7 Sc 0.500 0.124 0.750
8 Sc 0.500 0.876 0.250
9 Sb 0.258 0.367 0.508
10 Sb 0.258 0.633 0.008
11 Sb 0.268 0.116 0.000
12 Sb 0.268 0.884 0.500
13 Sb 0.732 0.116 0.500
14 Sb 0.732 0.884 0.000
15 Sb 0.742 0.367 0.992
16 Sb 0.742 0.633 0.492

Principal peaks in the range 10 to 90 degrees two-theta, most intense first:
2θ = 28.23°, rel. 100
2θ = 40.31°, rel. 38
2θ = 40.40°, rel. 37
2θ = 66.14°, rel. 22
2θ = 49.94°, rel. 20
2θ = 58.39°, rel. 12
2θ = 73.29°, rel. 12
2θ = 66.02°, rel. 11
2θ = 50.09°, rel. 6
2θ = 73.39°, rel. 6
2θ = 73.51°, rel. 6
2θ = 87.35°, rel. 4

---

(12)
The following is a calculated powder XRD pattern of Pr2ZrScSb4. It was derived from a crystal structure in Alexandria, relaxed with PBE, using Cu Kα (λ = 1.5418 Å).

Crystal structure
abc: 7.521 4.345 7.537
angles: 90.00 109.38 90.00
Fractional positions:
1 Pr 0.000 0.000 0.000
2 Pr 0.500 0.500 0.000
3 Zr 0.000 0.500 0.500
4 Sc 0.500 0.000 0.500
5 Sb 0.242 0.000 0.724
6 Sb 0.259 0.500 0.276
7 Sb 0.741 0.500 0.724
8 Sb 0.758 0.000 0.276

Principal peaks in the range 10 to 90 degrees two-theta, most intense first:
2θ = 29.05°, rel. 100
2θ = 41.55°, rel. 73
2θ = 51.52°, rel. 20
2θ = 68.19°, rel. 19
2θ = 75.84°, rel. 18
2θ = 60.21°, rel. 11
2θ = 68.28°, rel. 11
2θ = 31.71°, rel. 8
2θ = 24.02°, rel. 6
2θ = 51.41°, rel. 5
2θ = 75.69°, rel. 4
2θ = 57.55°, rel. 3